1.
# BiW2Cl8O2
Theoretical powder diffractogram, copper Kα. Input: the GGA+U geometry in Alexandria.

Structure:
```
data_BiW2Cl8O2
_cell_length_a 7.756
_cell_length_b 8.925
_cell_length_c 11.176
_cell_angle_alpha 88.95
_cell_angle_beta 79.87
_cell_angle_gamma 87.52
_space_group_name_H-M_alt 'P -1'
_space_group_IT_number 2
loop_
_space_group_symop_operation_xyz
'x,y,z'
'-x,-y,-z'
loop_
_atom_site_label
_atom_site_fract_x
_atom_site_fract_y
_atom_site_fract_z
_atom_site_occupancy
Bi1 0.126 0.331 0.085 1
W1 0.218 0.884 0.648 1
W2 0.282 0.102 0.354 1
Cl1 0.090 0.625 0.092 1
Cl2 0.150 0.950 0.857 1
Cl3 0.211 0.625 0.698 1
Cl4 0.227 0.161 0.576 1
Cl5 0.280 0.370 0.290 1
Cl6 0.284 0.832 0.423 1
Cl7 0.320 0.034 0.147 1
Cl8 0.388 0.342 0.926 1
O1 0.021 0.105 0.365 1
O2 0.461 0.893 0.644 1
```

Most intense lines, 10 to 80 degrees two-theta, in order of rising 2θ:
- d = 6.964 Å, 12.71 deg, I = 100
- d = 4.142 Å, 21.45 deg, I = 10
- d = 3.815 Å, 23.31 deg, I = 23
- d = 3.667 Å, 24.27 deg, I = 10
- d = 3.564 Å, 24.99 deg, I = 15
- d = 3.449 Å, 25.83 deg, I = 18
- d = 2.908 Å, 30.74 deg, I = 16
- d = 2.861 Å, 31.26 deg, I = 20
- d = 2.750 Å, 32.56 deg, I = 10
- d = 2.636 Å, 34.01 deg, I = 10

2.
# BiWClO4
Theoretical powder diffractogram, copper Kα. Input: the GGA+U geometry in Alexandria.

Structure:
```
data_BiWClO4
_cell_length_a 10.958
_cell_length_b 7.625
_cell_length_c 7.129
_cell_angle_alpha 90.00
_cell_angle_beta 113.66
_cell_angle_gamma 90.00
_space_group_name_H-M_alt 'C 1 2/m 1'
_space_group_IT_number 12
loop_
_space_group_symop_operation_xyz
'x,y,z'
'-x,-y,-z'
'-x,y,-z'
'x,-y,z'
'x+1/2,y+1/2,z'
'-x+1/2,-y+1/2,-z'
'-x+1/2,y+1/2,-z'
'x+1/2,-y+1/2,z'
loop_
_atom_site_label
_atom_site_fract_x
_atom_site_fract_y
_atom_site_fract_z
_atom_site_occupancy
Bi1 0.219 0.000 0.166 1
W1 0.128 0.500 0.228 1
Cl1 0.008 0.000 0.251 1
O1 0.059 0.500 0.881 1
O2 0.159 0.500 0.500 1
O3 0.216 0.304 0.204 1
```

Most intense lines, 10 to 80 degrees two-theta, in order of rising 2θ:
- d = 6.530 Å, 13.56 deg, I = 31
- d = 5.088 Å, 17.43 deg, I = 31
- d = 5.019 Å, 17.67 deg, I = 34
- d = 3.813 Å, 23.33 deg, I = 96
- d = 3.378 Å, 26.39 deg, I = 45
- d = 3.271 Å, 27.26 deg, I = 100
- d = 2.808 Å, 31.87 deg, I = 32
- d = 2.528 Å, 35.51 deg, I = 33
- d = 2.096 Å, 43.16 deg, I = 27
- d = 2.081 Å, 43.49 deg, I = 29